Diffraction record for Ca3Ge2Pd7. The X-ray diffraction stick pattern is simulated, not measured: it uses a structure optimized by DFT (PBE) and Cu Kα (weighted mean of Kα1 and Kα2).
Lines closer than 0.1° are merged.

Largest 10 diffraction maxima, sorted by position, 2θ from 10° to 80°:
Position (°2θ)	d_spacing	Rel. int.
12.41	7.132	34
21.66	4.104	52
24.98	3.565	21
32.10	2.789	27
34.54	2.597	85
37.93	2.372	100
43.67	2.073	39
44.12	2.052	39
46.88	1.938	49
63.82	1.458	25

Structural model:
```
Ca3Ge2Pd7
1.0
2.073 -14.264 0.000
2.073 14.264 0.000
0.000 0.000 4.105
Ca Ge Pd
3 2 7
Cartesian
0.000 0.000 0.000 Ca
2.073 8.459 0.000 Ca
2.073 -8.459 0.000 Ca
2.073 2.407 2.052 Ge
2.073 -2.407 2.052 Ge
2.073 10.512 2.052 Pd
2.073 5.996 2.052 Pd
2.073 3.757 0.000 Pd
2.073 0.000 2.052 Pd
2.073 -3.757 0.000 Pd
2.073 -5.996 2.052 Pd
2.073 -10.512 2.052 Pd
```

***

Diffraction record for Ca3Ge2Pd3. The X-ray diffraction stick pattern is simulated, not measured: it uses a structure optimized by DFT (PBE) and Cu Kα (weighted mean of Kα1 and Kα2).
Lines closer than 0.1° are merged.

Largest 10 diffraction maxima, sorted by position, 2θ from 10° to 80°:
Position (°2θ)	d_spacing	Rel. int.
11.55	7.664	49
19.07	4.654	80
23.23	3.829	50
32.68	2.740	65
33.03	2.712	38
36.27	2.477	74
37.54	2.396	72
37.76	2.382	100
40.75	2.214	89
45.80	1.981	54

Structural model:
```
Ca3Ge2Pd3
1.0
7.843 0.000 0.000
0.000 15.328 0.000
0.000 0.000 5.783
Ca Ge Pd
12 8 12
Cartesian
0.182 1.622 0.772 Ca
0.182 6.042 0.772 Ca
1.280 3.832 3.519 Ca
2.642 11.496 0.628 Ca
3.740 9.286 3.663 Ca
3.740 13.706 3.663 Ca
4.103 1.622 2.120 Ca
4.103 6.042 2.120 Ca
5.202 3.832 5.155 Ca
6.563 11.496 2.264 Ca
7.662 9.286 5.011 Ca
7.662 13.706 5.011 Ca
1.030 9.274 2.148 Ge
1.030 13.717 2.148 Ge
2.891 1.610 5.040 Ge
2.891 6.053 5.040 Ge
4.952 9.274 0.743 Ge
4.952 13.717 0.743 Ge
6.813 1.610 3.634 Ge
6.813 6.053 3.634 Ge
1.270 0.556 3.474 Pd
1.270 7.108 3.474 Pd
1.471 11.496 3.383 Pd
2.450 3.832 0.492 Pd
2.652 8.220 0.583 Pd
2.652 14.772 0.583 Pd
5.191 0.556 5.200 Pd
5.191 7.108 5.200 Pd
5.393 11.496 5.291 Pd
6.372 3.832 2.399 Pd
6.574 8.220 2.309 Pd
6.574 14.772 2.309 Pd
```

***

Diffraction record for Ca3Ge3Pd. The X-ray diffraction stick pattern is simulated, not measured: it uses a structure optimized by DFT (PBE) and Cu Kα (weighted mean of Kα1 and Kα2).
Lines closer than 0.1° are merged.

Largest 10 diffraction maxima, sorted by position, 2θ from 10° to 80°:
Position (°2θ)	d_spacing	Rel. int.
20.88	4.254	63
32.39	2.764	44
33.11	2.706	31
34.36	2.610	100
37.99	2.368	87
38.64	2.330	43
41.94	2.154	83
45.55	1.992	38
58.35	1.581	31
64.03	1.454	33

Structural model:
```
Ca3Ge3Pd
1.0
2.153 -5.409 0.000
2.153 5.409 0.000
0.000 0.000 13.778
Ca Ge Pd
6 6 2
Cartesian
2.153 -5.404 3.445 Ca
2.153 5.404 10.334 Ca
2.153 2.335 8.297 Ca
2.153 2.335 12.371 Ca
2.153 -2.335 1.408 Ca
2.153 -2.335 5.482 Ca
2.153 2.289 3.445 Ge
2.153 0.752 1.295 Ge
2.153 0.752 5.594 Ge
2.153 -0.752 8.184 Ge
2.153 -0.752 12.484 Ge
2.153 -2.289 10.334 Ge
0.000 0.000 0.000 Pd
0.000 0.000 6.889 Pd
```

***

Diffraction record for Ca3Ge2Pd4. The X-ray diffraction stick pattern is simulated, not measured: it uses a structure optimized by DFT (PBE) and Cu Kα (weighted mean of Kα1 and Kα2).
Lines closer than 0.1° are merged.

Largest 10 diffraction maxima, sorted by position, 2θ from 10° to 80°:
Position (°2θ)	d_spacing	Rel. int.
17.25	5.141	24
18.54	4.785	100
24.05	3.701	24
33.39	2.683	30
36.42	2.467	22
37.08	2.424	38
40.15	2.246	77
41.90	2.156	43
42.11	2.146	35
66.32	1.409	22

Structural model:
```
Ca3Ge2Pd4
1.0
5.220 -2.156 0.000
5.220 2.156 0.000
-1.495 0.000 8.546
Ca Ge Pd
3 2 4
Cartesian
0.000 0.000 0.000 Ca
3.050 0.000 5.250 Ca
5.894 0.000 3.296 Ca
2.979 0.000 1.854 Ge
5.965 0.000 6.692 Ge
0.019 0.000 5.430 Pd
1.521 0.000 7.797 Pd
7.423 0.000 0.749 Pd
8.925 0.000 3.115 Pd
```

***

Diffraction record for Ca2Ge5Pd3. The X-ray diffraction stick pattern is simulated, not measured: it uses a structure optimized by DFT (PBE) and Cu Kα (weighted mean of Kα1 and Kα2).
Lines closer than 0.1° are merged.

Largest 10 diffraction maxima, sorted by position, 2θ from 10° to 80°:
Position (°2θ)	d_spacing	Rel. int.
16.92	5.239	49
22.35	3.978	62
33.04	2.711	63
34.01	2.636	57
34.17	2.624	69
42.02	2.150	100
45.64	1.988	52
45.77	1.982	48
48.31	1.884	21
61.13	1.516	26

Structural model:
```
Ca2Ge5Pd3
1.0
-5.239 6.099 3.032
5.239 -6.099 3.032
5.239 6.099 -3.032
Ca Ge Pd
4 10 6
Cartesian
2.436 1.618 0.000 Ca
2.436 -1.618 3.032 Ca
2.803 7.718 0.000 Ca
2.803 4.481 3.032 Ca
5.239 -2.728 1.516 Ge
6.891 1.266 0.000 Ge
0.000 0.000 1.516 Ge
1.652 4.834 0.000 Ge
5.239 2.728 1.516 Ge
0.000 3.371 1.516 Ge
3.587 1.266 3.032 Ge
0.000 0.000 4.549 Ge
-1.652 4.834 3.032 Ge
0.000 8.827 1.516 Ge
4.066 -4.393 3.032 Pd
5.239 0.000 1.516 Pd
4.066 4.393 0.000 Pd
1.173 1.707 3.032 Pd
0.000 6.099 1.516 Pd
1.173 10.492 0.000 Pd
```

***

Diffraction record for Ca2Ge4PdRh3. The X-ray diffraction stick pattern is simulated, not measured: it uses a structure optimized by DFT (PBE) and Cu Kα (weighted mean of Kα1 and Kα2).
Lines closer than 0.1° are merged.

Largest 10 diffraction maxima, sorted by position, 2θ from 10° to 80°:
Position (°2θ)	d_spacing	Rel. int.
17.59	5.043	43
22.55	3.944	43
33.89	2.645	51
34.54	2.597	100
42.18	2.142	86
46.88	1.938	80
49.97	1.825	21
55.17	1.665	24
61.18	1.515	28
72.19	1.309	22

Structural model:
```
Ca2Ge4PdRh3
1.0
4.285 0.000 0.000
0.000 4.285 0.000
0.000 0.000 10.087
Ca Ge Pd Rh
2 4 1 3
Cartesian
0.000 2.142 2.485 Ca
2.142 0.000 7.601 Ca
0.000 0.000 0.000 Ge
0.000 2.142 6.364 Ge
2.142 0.000 3.723 Ge
2.142 2.142 0.000 Ge
0.000 0.000 5.043 Pd
0.000 2.142 8.810 Rh
2.142 0.000 1.277 Rh
2.142 2.142 5.043 Rh
```

***

Diffraction record for CaZn2GePd4. The X-ray diffraction stick pattern is simulated, not measured: it uses a structure optimized by DFT (PBE) and Cu Kα (weighted mean of Kα1 and Kα2).
Lines closer than 0.1° are merged.

Largest 10 diffraction maxima, sorted by position, 2θ from 10° to 80°:
Position (°2θ)	d_spacing	Rel. int.
11.93	7.418	10
27.89	3.199	13
36.39	2.469	13
39.77	2.267	78
39.93	2.258	100
55.10	1.667	11
57.62	1.600	25
72.40	1.305	25
72.51	1.304	16
76.89	1.240	8

Structural model:
```
CaZn2GePd4
1.0
2.258 1.304 7.418
-2.258 1.304 7.418
0.000 -2.607 7.418
Ca Zn Ge Pd
1 2 1 4
Cartesian
0.000 0.000 0.000 Ca
0.000 0.000 5.682 Zn
0.000 0.000 16.571 Zn
0.000 0.000 11.127 Ge
0.000 0.000 2.982 Pd
0.000 0.000 8.677 Pd
0.000 0.000 13.576 Pd
0.000 0.000 19.272 Pd
```

***

Diffraction record for Ca3Pm3Ge4. The X-ray diffraction stick pattern is simulated, not measured: it uses a structure optimized by DFT (PBE) and Cu Kα (weighted mean of Kα1 and Kα2).
Lines closer than 0.1° are merged.

Largest 10 diffraction maxima, sorted by position, 2θ from 10° to 80°:
Position (°2θ)	d_spacing	Rel. int.
11.41	7.757	19
16.09	5.507	31
30.71	2.911	58
32.79	2.731	81
32.93	2.720	100
36.54	2.459	23
36.73	2.447	19
40.96	2.203	30
46.85	1.939	14
69.50	1.353	20

Structural model:
```
Ca3Pm3Ge4
1.0
4.407 0.000 0.000
0.000 5.463 5.507
0.000 -5.463 5.507
Ca Pm Ge
3 3 4
Cartesian
0.000 0.000 0.000 Ca
2.203 -2.757 6.319 Ca
2.203 2.757 6.319 Ca
0.000 -1.922 3.579 Pm
0.000 1.922 3.579 Pm
0.000 0.000 7.159 Pm
2.203 0.000 2.329 Ge
2.203 0.000 4.895 Ge
2.203 -1.299 9.042 Ge
2.203 1.299 9.042 Ge
```

***

Diffraction record for CaPm12Ge7. The X-ray diffraction stick pattern is simulated, not measured: it uses a structure optimized by DFT (PBE) and Cu Kα (weighted mean of Kα1 and Kα2).
Lines closer than 0.1° are merged.

Largest 10 diffraction maxima, sorted by position, 2θ from 10° to 80°:
Position (°2θ)	d_spacing	Rel. int.
26.41	3.374	57
28.92	3.087	34
31.28	2.860	70
32.11	2.788	100
35.23	2.547	58
36.26	2.478	27
37.49	2.399	58
49.36	1.846	19
52.93	1.730	33
64.73	1.440	24

Structural model:
```
CaPm12Ge7
1.0
7.642 4.412 2.857
-7.642 4.412 2.857
0.000 -8.824 2.857
Ca Pm Ge
1 12 7
Cartesian
0.000 0.000 0.000 Ca
-2.052 -5.270 2.857 Pm
-5.590 0.858 2.857 Pm
-2.335 -1.348 3.160 Pm
2.052 -5.270 2.857 Pm
-3.538 4.412 2.857 Pm
2.335 -1.348 3.160 Pm
0.000 2.697 3.160 Pm
0.000 -2.697 5.411 Pm
-2.335 1.348 5.411 Pm
5.590 0.858 2.857 Pm
3.538 4.412 2.857 Pm
2.335 1.348 5.411 Pm
0.000 -2.969 2.126 Ge
-2.571 1.485 2.126 Ge
2.571 1.485 2.126 Ge
0.000 0.000 4.285 Ge
-2.571 -1.485 6.444 Ge
2.571 -1.485 6.444 Ge
0.000 2.969 6.444 Ge
```

***

Diffraction record for Ca3Ge3Pt. The X-ray diffraction stick pattern is simulated, not measured: it uses a structure optimized by DFT (PBE) and Cu Kα (weighted mean of Kα1 and Kα2).
Lines closer than 0.1° are merged.

Largest 10 diffraction maxima, sorted by position, 2θ from 10° to 80°:
Position (°2θ)	d_spacing	Rel. int.
12.90	6.861	57
16.41	5.402	50
20.93	4.245	85
25.93	3.436	31
32.52	2.754	47
34.54	2.597	100
38.15	2.359	48
42.08	2.147	41
42.31	2.136	39
45.78	1.982	41

Structural model:
```
Ca3Ge3Pt
1.0
2.136 -5.402 0.000
2.136 5.402 0.000
0.000 0.000 13.723
Ca Ge Pt
6 6 2
Cartesian
2.136 5.380 10.292 Ca
2.136 2.340 1.389 Ca
2.136 2.340 5.472 Ca
2.136 -2.340 8.250 Ca
2.136 -2.340 12.334 Ca
2.136 -5.380 3.431 Ca
2.136 2.269 10.292 Ge
2.136 0.738 8.152 Ge
2.136 0.738 12.432 Ge
2.136 -0.738 1.291 Ge
2.136 -0.738 5.571 Ge
2.136 -2.269 3.431 Ge
0.000 0.000 0.000 Pt
0.000 0.000 6.861 Pt
```

***

Diffraction record for Ca3Ge2Pt2. The X-ray diffraction stick pattern is simulated, not measured: it uses a structure optimized by DFT (PBE) and Cu Kα (weighted mean of Kα1 and Kα2).
Lines closer than 0.1° are merged.

Largest 10 diffraction maxima, sorted by position, 2θ from 10° to 80°:
Position (°2θ)	d_spacing	Rel. int.
13.17	6.725	28
15.60	5.679	58
20.12	4.412	60
20.47	4.339	30
21.65	4.105	35
27.58	3.234	34
34.48	2.601	31
36.44	2.466	31
38.05	2.365	27
39.12	2.303	100

Structural model:
```
Ca3Ge2Pt2
1.0
5.679 0.000 0.000
0.000 8.211 0.000
0.000 0.000 13.450
Ca Ge Pt
12 8 8
Cartesian
0.777 0.929 1.395 Ca
0.777 0.929 5.329 Ca
0.777 3.176 8.120 Ca
0.777 3.176 12.054 Ca
2.052 6.130 10.087 Ca
2.052 6.186 3.362 Ca
3.628 2.025 10.087 Ca
3.628 2.081 3.362 Ca
4.902 5.035 1.395 Ca
4.902 5.035 5.329 Ca
4.902 7.281 8.120 Ca
4.902 7.281 12.054 Ca
0.835 0.782 10.087 Ge
0.835 3.324 3.362 Ge
2.133 6.158 0.000 Ge
2.133 6.158 6.725 Ge
3.547 2.053 0.000 Ge
3.547 2.053 6.725 Ge
4.845 4.887 10.087 Ge
4.845 7.429 3.362 Ge
2.108 0.259 7.937 Pt
2.108 0.259 12.238 Pt
2.108 3.846 1.212 Pt
2.108 3.846 5.513 Pt
3.571 4.364 7.937 Pt
3.571 4.364 12.238 Pt
3.571 7.952 1.212 Pt
3.571 7.952 5.513 Pt
```

***

Diffraction record for CaGe2Pt4. The X-ray diffraction stick pattern is simulated, not measured: it uses a structure optimized by DFT (PBE) and Cu Kα (weighted mean of Kα1 and Kα2).
Lines closer than 0.1° are merged.

Largest 10 diffraction maxima, sorted by position, 2θ from 10° to 80°:
Position (°2θ)	d_spacing	Rel. int.
15.87	5.586	89
33.96	2.640	100
35.95	2.498	41
39.44	2.285	76
41.17	2.193	46
42.76	2.115	86
45.68	1.986	40
47.44	1.916	64
63.38	1.468	39
67.99	1.379	34

Structural model:
```
CaGe2Pt4
1.0
7.899 0.000 0.000
0.000 7.899 0.000
0.000 0.000 3.972
Ca Ge Pt
2 4 8
Cartesian
0.000 0.000 0.000 Ca
3.950 3.950 1.986 Ca
1.788 1.788 1.986 Ge
2.161 5.738 0.000 Ge
5.738 2.161 0.000 Ge
6.111 6.111 1.986 Ge
0.610 5.313 1.986 Pt
1.363 3.339 0.000 Pt
2.587 7.289 1.986 Pt
3.339 1.363 0.000 Pt
4.560 6.536 0.000 Pt
5.313 0.610 1.986 Pt
6.536 4.560 0.000 Pt
7.289 2.587 1.986 Pt
```

***

Copy entry 12 word for word.
Diffraction record for CaGe2Pt4. The X-ray diffraction stick pattern is simulated, not measured: it uses a structure optimized by DFT (PBE) and Cu Kα (weighted mean of Kα1 and Kα2).
Lines closer than 0.1° are merged.

Largest 10 diffraction maxima, sorted by position, 2θ from 10° to 80°:
Position (°2θ)	d_spacing	Rel. int.
15.87	5.586	89
33.96	2.640	100
35.95	2.498	41
39.44	2.285	76
41.17	2.193	46
42.76	2.115	86
45.68	1.986	40
47.44	1.916	64
63.38	1.468	39
67.99	1.379	34

Structural model:
```
CaGe2Pt4
1.0
7.899 0.000 0.000
0.000 7.899 0.000
0.000 0.000 3.972
Ca Ge Pt
2 4 8
Cartesian
0.000 0.000 0.000 Ca
3.950 3.950 1.986 Ca
1.788 1.788 1.986 Ge
2.161 5.738 0.000 Ge
5.738 2.161 0.000 Ge
6.111 6.111 1.986 Ge
0.610 5.313 1.986 Pt
1.363 3.339 0.000 Pt
2.587 7.289 1.986 Pt
3.339 1.363 0.000 Pt
4.560 6.536 0.000 Pt
5.313 0.610 1.986 Pt
6.536 4.560 0.000 Pt
7.289 2.587 1.986 Pt
```